No. 1
Starting from a GGA-PBE-relaxed structure, the PXRD pattern of Ac2AgBi4 was calculated for Cu Kα, 1.54184 Å.

Structure:
Unit cell a=4.794 b=4.794 c=10.332 alpha=90.00 beta=90.00 gamma=90.00
Space group P-4m2 (No. 115)
Unique sites:
1 Ac 0.000 0.500 0.235 (multiplicity 2)
2 Ag 0.500 0.500 0.000 (multiplicity 1)
3 Bi 0.000 0.000 0.500 (multiplicity 1)
4 Bi 0.000 0.500 0.843 (multiplicity 2)
5 Bi 0.500 0.500 0.500 (multiplicity 1)

Most intense lines, 10° ≤ 2θ ≤ 90°, in order of rising 2θ:
index, Position (°2θ), intensity
0 0 3, 25.87, 22
1 1 1, 27.69, 36
1 1 2, 31.57, 100
1 0 3, 32.00, 20
2 0 0, 37.52, 48
3 1 2, 64.00, 27

No. 2
Starting from a GGA-PBE-relaxed structure, the PXRD pattern of Ac4Ag5Bi7 was calculated for Cu Kα, 1.54184 Å.

Structure:
Unit cell a=6.592 b=6.592 c=22.264 alpha=90.00 beta=90.00 gamma=90.00
Space group I-42m (No. 121)
Unique sites:
1 Ac 0.247 0.247 0.124 (multiplicity 8)
2 Ag 0.000 0.000 0.249 (multiplicity 4)
3 Ag 0.000 0.000 0.500 (multiplicity 2)
4 Ag 0.000 0.500 0.250 (multiplicity 4)
5 Bi 0.000 0.000 0.000 (multiplicity 2)
6 Bi 0.000 0.500 0.000 (multiplicity 4)
7 Bi 0.246 0.246 0.336 (multiplicity 8)

Most intense lines, 10° ≤ 2θ ≤ 90°, in order of rising 2θ:
index, Position (°2θ), intensity
1 1 4, 24.92, 15
2 0 4, 31.55, 100
2 2 0, 38.63, 38
1 1 10, 45.13, 14
4 0 0, 55.78, 13
4 2 4, 65.51, 25

No. 3
Starting from a GGA-PBE-relaxed structure, the PXRD pattern of AcAgBr4 was calculated for Cu Kα, 1.54184 Å.

Structure:
Unit cell a=7.482 b=7.407 c=7.438 alpha=90.00 beta=102.32 gamma=90.00
Space group Cm (No. 8)
Unique sites:
1 Ac 0.000 0.000 0.000 (multiplicity 2)
2 Ag 0.004 0.500 0.498 (multiplicity 2)
3 Br 0.196 0.250 0.751 (multiplicity 4)
4 Br 0.304 0.250 0.250 (multiplicity 4)

Most intense lines, 10° ≤ 2θ ≤ 90°, in order of rising 2θ:
index, Position (°2θ), intensity
1 1 -1, 19.42, 100
1 1 1, 22.48, 71
2 0 -2, 30.78, 51
2 2 0, 34.48, 75
0 2 2, 34.58, 94
2 0 2, 38.50, 49

No. 4
Starting from a GGA-PBE-relaxed structure, the PXRD pattern of CsAcAg2Br8 was calculated for Cu Kα, 1.54184 Å.

Structure:
Unit cell a=7.416 b=7.416 c=16.426 alpha=90.00 beta=90.00 gamma=90.00
Space group I-4 (No. 82)
Unique sites:
1 Cs 0.000 0.000 0.000 (multiplicity 2)
2 Ac 0.000 0.500 0.250 (multiplicity 2)
3 Ag 0.000 0.000 0.500 (multiplicity 2)
4 Ag 0.000 0.500 0.750 (multiplicity 2)
5 Br 0.113 0.281 0.410 (multiplicity 8)
6 Br 0.159 0.786 0.807 (multiplicity 8)

Most intense lines, 10° ≤ 2θ ≤ 90°, in order of rising 2θ:
index, Position (°2θ), intensity
1 1 2, 20.09, 100
2 1 1, 27.43, 41
1 1 4, 27.59, 30
2 0 4, 32.53, 42
1 1 6, 37.04, 36
1 3 2, 39.99, 70

No. 5
Starting from a GGA-PBE-relaxed structure, the PXRD pattern of CsAc2AgBr8 was calculated for Cu Kα, 1.54184 Å.

Structure:
Unit cell a=7.396 b=7.470 c=9.572 alpha=90.27 beta=90.12 gamma=97.40
Space group P-1 (No. 2)
Unique sites:
1 Cs 0.000 0.000 0.000 (multiplicity 1)
2 Ac 0.500 0.499 0.739 (multiplicity 2)
3 Ag 0.000 0.000 0.500 (multiplicity 1)
4 Br 0.151 0.253 0.293 (multiplicity 2)
5 Br 0.152 0.246 0.704 (multiplicity 2)
6 Br 0.359 0.718 0.501 (multiplicity 2)
7 Br 0.384 0.713 0.000 (multiplicity 2)

Most intense lines, 10° ≤ 2θ ≤ 90°, in order of rising 2θ:
index, Position (°2θ), intensity
1 -1 0, 15.87, 100
1 1 0, 18.08, 61
0 1 -2, 22.08, 36
-1 1 2, 24.50, 45
1 -2 2, 31.67, 43
-1 2 2, 31.81, 75

No. 6
Starting from a GGA-PBE-relaxed structure, the PXRD pattern of AcAgPbBr6 was calculated for Cu Kα, 1.54184 Å.

Structure:
Unit cell a=7.096 b=7.096 c=13.512 alpha=90.00 beta=90.00 gamma=90.00
Space group P4_2nm (No. 102)
Unique sites:
1 Ac 0.000 0.000 0.000 (multiplicity 2)
2 Ag 0.000 0.000 0.331 (multiplicity 2)
3 Pb 0.000 0.000 0.666 (multiplicity 2)
4 Br 0.195 0.195 0.174 (multiplicity 4)
5 Br 0.195 0.195 0.491 (multiplicity 4)
6 Br 0.203 0.203 0.833 (multiplicity 4)

Most intense lines, 10° ≤ 2θ ≤ 90°, in order of rising 2θ:
index, Position (°2θ), intensity
1 1 0, 17.68, 100
1 0 3, 23.39, 42
1 1 3, 26.60, 43
2 1 3, 34.58, 98
2 2 0, 35.79, 36
3 0 3, 43.20, 53